# CsMgCd3As3
Simulated PXRD pattern, Cu Kα (weighted mean of Kα1 and Kα2). Input: a DFT-relaxed cell (GGA-PBE, OQMD).
Kinematic intensities with the Lorentz-polarization factor, no thermal factor.

Cell lengths 4.524, 4.528, 10.877 Å; angles 90.00, 90.00, 90.00 degrees
Sites, in units of the cell vectors:
Cs (0.000, 0.000, 0.000)
Mg (0.500, 0.000, 0.663)
Cd (0.000, 0.500, 0.339)
Cd (0.000, 0.500, 0.664)
Cd (0.500, 0.000, 0.341)
As (0.000, 0.000, 0.508)
As (0.500, 0.500, 0.200)
As (0.500, 0.500, 0.797)

Main lines, in order of rising 2θ (2θ = 10–90°):
2θ/deg	d [Å]	I_rel	hkl
24.55	3.626	21	0 0 3
25.61	3.479	100	0 1 2
29.09	3.070	56	1 1 1
32.46	2.758	31	1 1 2
37.49	2.399	59	1 1 3
39.84	2.263	68	2 0 0
43.68	2.072	46	1 1 4
47.96	1.897	35	2 1 2
57.60	1.600	22	2 2 0
66.04	1.415	20	2 0 6